Diffraction record for Sr5La. The XRD peak list is theoretical, not measured: it uses a cell relaxed with GGA-PBE and Cu Kα.

a b c (Å): 6.7802 4.0981 21.7692
angles (deg): 90.00 90.00 90.00
Space group Amm2 (No. 38)
Symmetry-distinct sites (fractional):
Sr  0.0000  0.0000  0.0000
Sr  0.0000  0.0000  0.3228
Sr  0.5000  0.0000  0.2168
Sr  0.5000  0.0000  0.5568
Sr  0.5000  0.0000  0.8859
La  0.0000  0.0000  0.6612

Most intense lines, 15° ≤ 2θ ≤ 90°, low angle first:
Position (°2θ)  d_spacing  intensity
25.0  3.568  26.3
26.3  3.390  41.5
27.9  3.199  56.0
28.3  3.158  100.0
43.4  2.083  20.3
47.6  1.909  23.5
51.5  1.775  24.5
52.2  1.753  19.8

Diffraction record for SrLa2. The XRD peak list is theoretical, not measured: it uses a cell relaxed with GGA-PBE and Cu Kα.

a b c (Å): 3.8749 3.8749 9.6552
angles (deg): 90.00 90.00 120.00
Space group P-3m1 (No. 164)
Symmetry-distinct sites (fractional):
Sr  0.0000  0.0000  0.0000
La  0.3333  0.6667  0.3517

Most intense lines, 15° ≤ 2θ ≤ 90°, low angle first:
Position (°2θ)  d_spacing  intensity
27.7  3.218  31.9
28.2  3.170  100.0
32.5  2.755  71.6
46.3  1.960  22.7
46.9  1.937  24.7
54.9  1.674  14.8
55.3  1.660  27.4
55.6  1.653  14.8

Diffraction record for SrLa. The XRD peak list is theoretical, not measured: it uses a cell relaxed with GGA-PBE and Cu Kα.

a b c (Å): 4.0196 4.8430 9.2199
angles (deg): 90.00 90.00 90.00
Space group Pmmn (No. 59, origin choice 2)
Symmetry-distinct sites (fractional):
Sr  0.2500  0.2500  0.1550
La  0.2500  0.2500  0.5786

Most intense lines, 15° ≤ 2θ ≤ 90°, low angle first:
Position (°2θ)  d_spacing  intensity
26.7  3.339  92.8
28.9  3.093  100.0
29.5  3.030  72.0
30.5  2.932  17.0
34.6  2.595  16.7
37.1  2.421  25.5
48.1  1.892  36.8
53.2  1.722  37.8

Diffraction record for Sr2La. The XRD peak list is theoretical, not measured: it uses a cell relaxed with GGA-PBE and Cu Kα.

a b c (Å): 14.7233 4.0898 9.8574
angles (deg): 90.00 107.32 90.00
Space group C2/m (No. 12)
Symmetry-distinct sites (fractional):
Sr  0.0329  0.0000  0.2666
Sr  0.1813  0.5000  0.6368
La  0.1559  0.5000  0.0256

Most intense lines, 15° ≤ 2θ ≤ 90°, low angle first:
Position (°2θ)  d_spacing  intensity
25.3  3.521  21.7
25.7  3.462  31.4
26.8  3.331  46.2
28.4  3.144  100.0
29.0  3.081  81.9
29.7  3.011  19.9
45.1  2.010  23.5
54.3  1.690  18.5

Diffraction record for Sr5La4. The XRD peak list is theoretical, not measured: it uses a cell relaxed with GGA-PBE and Cu Kα.

a b c (Å): 11.1097 11.1097 7.5867
angles (deg): 90.00 90.00 120.00
Space group P6_3/mcm (No. 193)
Symmetry-distinct sites (fractional):
Sr  0.0000  0.3708  0.2500
Sr  0.3333  0.6667  0.0000
La  0.0000  0.0000  0.0000
La  0.0000  0.2664  0.7500

Most intense lines, 15° ≤ 2θ ≤ 90°, low angle first:
Position (°2θ)  d_spacing  intensity
27.2  3.279  63.6
27.8  3.207  84.0
28.5  3.133  100.0
40.2  2.241  33.2
42.7  2.119  18.4
49.6  1.837  18.6
56.4  1.633  22.9
65.4  1.427  19.6

Diffraction record for SrLa4Ta. The XRD peak list is theoretical, not measured: it uses a cell relaxed with GGA-PBE and Cu Kα.

a b c (Å): 9.3533 9.3533 9.3533
angles (deg): 90.00 90.00 90.00
Space group F-43m (No. 216)
Symmetry-distinct sites (fractional):
Sr  0.0000  0.0000  0.0000
La  0.1203  0.1203  0.3797
Ta  0.2500  0.2500  0.7500

Most intense lines, 15° ≤ 2θ ≤ 90°, low angle first:
Position (°2θ)  d_spacing  intensity
27.0  3.307  25.3
31.7  2.820  100.0
33.2  2.700  41.6
50.7  1.800  36.1
55.6  1.653  30.6
65.4  1.426  12.0
66.3  1.410  16.3
78.6  1.218  22.7

Diffraction record for Sr2LaTc. The XRD peak list is theoretical, not measured: it uses a cell relaxed with GGA-PBE and Cu Kα.

a b c (Å): 3.7987 6.0573 12.1465
angles (deg): 90.00 90.00 90.00
Space group Imm2 (No. 44)
Symmetry-distinct sites (fractional):
Sr  0.0000  0.0000  0.0000
Sr  0.0000  0.5000  0.1869
La  0.0000  0.0000  0.3639
Tc  0.0000  0.5000  0.7244

Most intense lines, 15° ≤ 2θ ≤ 90°, low angle first:
Position (°2θ)  d_spacing  intensity
16.4  5.421  36.1
26.5  3.366  42.5
29.5  3.029  52.6
31.5  2.844  100.0
32.3  2.770  20.1
40.9  2.209  23.1
44.3  2.045  30.8
53.6  1.711  25.8

Diffraction record for Sr4LaTe5. The XRD peak list is theoretical, not measured: it uses a cell relaxed with GGA-PBE and Cu Kα.

a b c (Å): 4.6971 4.6971 33.3725
angles (deg): 90.00 90.00 90.00
Space group I4/mmm (No. 139)
Symmetry-distinct sites (fractional):
Sr  0.0000  0.0000  0.0994
Sr  0.0000  0.0000  0.3004
La  0.0000  0.0000  0.5000
Te  0.0000  0.0000  0.0000
Te  0.0000  0.0000  0.1996
Te  0.0000  0.0000  0.4017

Most intense lines, 15° ≤ 2θ ≤ 90°, low angle first:
Position (°2θ)  d_spacing  intensity
26.7  3.337  43.6
26.8  3.321  86.1
38.3  2.352  100.0
47.3  1.921  36.1
62.3  1.491  15.6
62.5  1.487  15.6
62.5  1.485  15.6
69.2  1.357  22.9

Diffraction record for SrLa4Te5. The XRD peak list is theoretical, not measured: it uses a cell relaxed with GGA-PBE and Cu Kα.

a b c (Å): 4.6013 4.6013 32.6477
angles (deg): 90.00 90.00 90.00
Space group I4/mmm (No. 139)
Symmetry-distinct sites (fractional):
Sr  0.0000  0.0000  0.0000
La  0.0000  0.0000  0.2007
La  0.0000  0.0000  0.3981
Te  0.0000  0.0000  0.1005
Te  0.0000  0.0000  0.2996
Te  0.0000  0.0000  0.5000

Most intense lines, 15° ≤ 2θ ≤ 90°, low angle first:
Position (°2θ)  d_spacing  intensity
27.3  3.265  44.1
27.4  3.254  86.7
39.1  2.303  100.0
48.4  1.881  36.2
56.6  1.627  11.3
63.8  1.459  15.5
64.0  1.456  31.0
70.9  1.329  22.7

Diffraction record for Sr3La4Te8. The XRD peak list is theoretical, not measured: it uses a cell relaxed with GGA-PBE and Cu Kα.

a b c (Å): 13.0945 13.1190 9.2485
angles (deg): 90.00 134.68 90.00
Space group C2/m (No. 12)
Symmetry-distinct sites (fractional):
Sr  0.0000  0.0000  0.0000
Sr  0.2500  0.2500  0.0000
La  0.0000  0.5000  0.0000
La  0.0000  0.5000  0.5000
La  0.2500  0.2500  0.5000
Te  0.0000  0.2508  0.5000
Te  0.0000  0.2517  0.0000
Te  0.2428  0.5000  0.9934
Te  0.2482  0.5000  0.4949

Most intense lines, 15° ≤ 2θ ≤ 90°, low angle first:
Position (°2θ)  d_spacing  intensity
27.2  3.284  100.0
27.2  3.274  49.6
38.7  2.324  57.8
38.9  2.315  57.2
47.9  1.898  20.8
48.2  1.890  20.6
63.3  1.470  13.4
63.4  1.467  17.9

Diffraction record for SrLaTh. The XRD peak list is theoretical, not measured: it uses a cell relaxed with GGA-PBE and Cu Kα.

a b c (Å): 3.7185 3.7185 58.9760
angles (deg): 90.00 90.00 120.00
Space group R-3m (No. 166, hexagonal axes)
Symmetry-distinct sites (fractional):
Sr  0.0000  0.0000  0.1966
La  0.0000  0.0000  0.2590
Th  0.0000  0.0000  0.3579

Most intense lines, 15° ≤ 2θ ≤ 90°, low angle first:
Position (°2θ)  d_spacing  intensity
27.2  3.276  63.4
27.9  3.201  86.3
29.7  3.008  61.7
31.7  2.826  48.9
32.4  2.761  100.0
34.1  2.626  73.2
49.0  1.859  58.1
56.9  1.617  49.5

Diffraction record for Sr2LaTl. The XRD peak list is theoretical, not measured: it uses a cell relaxed with GGA-PBE and Cu Kα.

a b c (Å): 3.8614 3.8614 10.6149
angles (deg): 90.00 90.00 90.00
Space group P4/mmm (No. 123)
Symmetry-distinct sites (fractional):
Sr  0.0000  0.0000  0.2090
La  0.5000  0.5000  0.5000
Tl  0.5000  0.5000  0.0000

Most intense lines, 15° ≤ 2θ ≤ 90°, low angle first:
Position (°2θ)  d_spacing  intensity
16.7  5.307  12.2
28.6  3.122  100.0
32.8  2.730  38.3
33.8  2.654  12.3
47.1  1.931  14.0
47.8  1.903  19.8
56.0  1.642  30.5
59.2  1.561  9.9

Diffraction record for Sr2LaY. The XRD peak list is theoretical, not measured: it uses a cell relaxed with GGA-PBE and Cu Kα.

a b c (Å): 13.2069 3.8651 6.6809
angles (deg): 90.00 99.55 90.00
Space group C2/m (No. 12)
Symmetry-distinct sites (fractional):
Sr  0.2488  0.0000  0.2470
La  0.0000  0.0000  0.5000
Y  0.0000  0.5000  0.0000

Most intense lines, 15° ≤ 2θ ≤ 90°, low angle first:
Position (°2θ)  d_spacing  intensity
27.4  3.256  35.9
28.2  3.164  100.0
32.4  2.759  69.1
46.0  1.974  17.2
47.1  1.931  24.3
54.4  1.686  10.4
55.3  1.662  19.9
55.8  1.648  14.4

Diffraction record for SrLa3Zn2. The XRD peak list is theoretical, not measured: it uses a cell relaxed with GGA-PBE and Cu Kα.

a b c (Å): 3.8519 3.8519 13.2492
angles (deg): 90.00 90.00 90.00
Space group P4/mmm (No. 123)
Symmetry-distinct sites (fractional):
Sr  0.0000  0.0000  0.0000
La  0.5000  0.5000  0.2348
La  0.5000  0.5000  0.5000
Zn  0.0000  0.0000  0.3627

Most intense lines, 15° ≤ 2θ ≤ 90°, low angle first:
Position (°2θ)  d_spacing  intensity
26.8  3.330  31.3
30.8  2.903  100.0
32.9  2.724  96.2
35.8  2.511  71.6
43.0  2.104  26.0
47.2  1.926  34.7
57.4  1.605  33.2
60.6  1.528  30.2

Diffraction record for Sr2La2Zn. The XRD peak list is theoretical, not measured: it uses a cell relaxed with GGA-PBE and Cu Kα.

a b c (Å): 7.9626 7.9626 6.3030
angles (deg): 90.00 90.00 90.00
Space group P4/mbm (No. 127)
Symmetry-distinct sites (fractional):
Sr  0.1745  0.3255  0.0000
La  0.1332  0.6332  0.5000
Zn  0.0000  0.0000  0.5000

Most intense lines, 15° ≤ 2θ ≤ 90°, low angle first:
Position (°2θ)  d_spacing  intensity
26.5  3.366  12.3
28.3  3.152  32.7
28.8  3.100  100.0
35.7  2.518  23.3
46.1  1.967  22.4
50.4  1.809  27.2
64.8  1.440  10.8
79.2  1.209  8.7